Diffraction record for Np4PaP5. The powder diffractogram is theoretical, not measured: it uses a crystal structure in Alexandria, relaxed with PBE and copper Kα.
Peak positions follow from Bragg's law for the DFT cell and can differ from measured ones.

Cell and atoms:
Lattice parameters (Å, degrees): 8.869 8.869 5.613 90.00 90.00 90.00
Space group I4/m (No. 87)
Inequivalent atoms, fractional coordinates:
Np: 0.100 0.300 0.000 x8
Pa: 0.000 0.000 0.500 x2
P: 0.000 0.000 0.000 x2
P: 0.100 0.301 0.500 x8

The 9 most intense peaks (2θ = 10–90°), low angle first:
2θ = 27.54°, intensity 100; 2θ = 31.90°, intensity 90; 2θ = 45.74°, intensity 67; 2θ = 54.23°, intensity 50; 2θ = 56.85°, intensity 24; 2θ = 66.69°, intensity 11; 2θ = 73.59°, intensity 21; 2θ = 75.83°, intensity 31; 2θ = 84.63°, intensity 24